Calculated powder XRD pattern of TbNdAg6 for a wavelength of 1.5418 Å, from the GGA-PBE geometry in OQMD.
Peak positions follow from Bragg's law for the DFT cell and can differ from measured ones.

Structural model:
```
TbNdAg6
1.0
5.069 0.000 0.000
0.000 6.294 0.000
0.000 0.000 5.223
Tb Nd Ag
1 1 6
Cartesian
0.000 0.000 0.000
2.534 3.147 3.596
0.000 1.566 2.636
0.000 3.147 0.206
0.000 4.727 2.636
2.534 0.000 3.470
2.534 1.483 0.960
2.534 4.811 0.960
```

Principal peaks in the range 10 to 90 degrees two-theta, low angle first:
- (0 2 1), 2θ 33.24, 2.695 Å, rel. 25
- (2 0 0), 2θ 35.42, 2.534 Å, rel. 41
- (1 2 1), 2θ 37.80, 2.380 Å, rel. 100
- (1 0 2), 2θ 38.79, 2.322 Å, rel. 47
- (3 2 1), 2θ 65.16, 1.432 Å, rel. 19
- (2 2 3), 2θ 72.37, 1.306 Å, rel. 19


Calculated powder XRD pattern of NdTm4Ag5 for a wavelength of 1.5418 Å, from the GGA-PBE geometry in OQMD.
Peak positions follow from Bragg's law for the DFT cell and can differ from measured ones.

Structural model:
```
NdTm4Ag5
1.0
3.591 0.000 0.000
0.000 3.591 0.000
0.000 0.000 18.191
Nd Tm Ag
1 4 5
Cartesian
0.000 0.000 0.000
0.000 0.000 3.753
0.000 0.000 7.312
0.000 0.000 10.879
0.000 0.000 14.438
1.796 1.796 2.049
1.796 1.796 5.525
1.796 1.796 9.096
1.796 1.796 12.666
1.796 1.796 16.142
```

Principal peaks in the range 10 to 90 degrees two-theta, low angle first:
- (1 0 5), 2θ 35.11, 2.556 Å, rel. 100
- (1 1 0), 2θ 35.34, 2.540 Å, rel. 51
- (2 0 0), 2θ 50.85, 1.796 Å, rel. 18
- (1 1 10), 2θ 62.84, 1.479 Å, rel. 16
- (2 1 5), 2θ 63.29, 1.469 Å, rel. 35
- (2 0 10), 2θ 74.21, 1.278 Å, rel. 10


Calculated powder XRD pattern of NdZn2Ag for a wavelength of 1.5418 Å, from the GGA-PBE geometry in OQMD.
Peak positions follow from Bragg's law for the DFT cell and can differ from measured ones.

Structural model:
```
NdZn2Ag
1.0
7.104 0.000 0.000
0.000 4.461 0.000
0.000 0.000 10.285
Nd Zn Ag
4 8 4
Cartesian
1.537 1.115 1.738
2.015 3.345 6.881
5.089 1.115 3.404
5.568 3.345 8.547
0.621 1.115 8.790
1.417 3.345 9.883
2.135 1.115 4.740
2.931 3.345 3.648
4.173 1.115 6.637
4.969 3.345 5.544
5.687 1.115 0.402
6.484 3.345 1.495
0.238 3.345 4.129
3.314 1.115 9.271
3.790 3.345 1.014
6.867 1.115 6.156
```

Principal peaks in the range 10 to 90 degrees two-theta, low angle first:
- (2 1 1), 2θ 33.40, 2.683 Å, rel. 99
- (1 1 3), 2θ 35.36, 2.539 Å, rel. 100
- (1 0 4), 2θ 37.19, 2.418 Å, rel. 26
- (0 2 0), 2θ 40.44, 2.230 Å, rel. 51
- (2 1 3), 2θ 41.85, 2.159 Å, rel. 24
- (3 0 2), 2θ 42.00, 2.151 Å, rel. 25